(1)
# AlHg3Pd6
Theoretical powder diffraction line list, a wavelength of 1.5418 Å. Input: DFT lattice parameters and positions (GGA-PBE).
Lines closer than 0.1° are merged.

Atomic structure:
Unit cell a=8.561 b=4.253 c=9.309 alpha=90.00 beta=96.55 gamma=90.00
Fractional coordinates of all 20 atoms:
Al1 0.059 0.250 0.381
Al2 0.941 0.750 0.619
Hg1 0.240 0.250 0.002
Hg2 0.345 0.750 0.792
Hg3 0.451 0.250 0.600
Hg4 0.549 0.750 0.400
Hg5 0.655 0.250 0.208
Hg6 0.760 0.750 0.998
Pd1 0.050 0.750 0.887
Pd2 0.120 0.250 0.669
Pd3 0.150 0.750 0.195
Pd4 0.212 0.750 0.491
Pd5 0.338 0.250 0.305
Pd6 0.451 0.750 0.098
Pd7 0.549 0.250 0.902
Pd8 0.662 0.750 0.695
Pd9 0.788 0.250 0.509
Pd10 0.850 0.250 0.805
Pd11 0.880 0.750 0.331
Pd12 0.950 0.250 0.113

Top 8 peaks for 5 to 70 degrees two-theta, by angle:
- 2θ 10.40, intensity 7
- 2θ 30.51, intensity 6
- 2θ 38.50, intensity 100
- 2θ 42.31, intensity 20
- 2θ 42.51, intensity 20
- 2θ 49.17, intensity 12
- 2θ 61.53, intensity 13
- 2θ 66.95, intensity 12


(2)
# Al2HgPd8
Theoretical powder diffraction line list, a wavelength of 1.5418 Å. Input: DFT lattice parameters and positions (GGA-PBE).
Lines closer than 0.1° are merged.

Atomic structure:
Unit cell a=4.612 b=5.883 c=7.438 alpha=111.44 beta=105.62 gamma=95.46
Fractional coordinates of all 11 atoms:
Al1 0.000 0.000 0.000
Al2 0.321 0.323 0.644
Hg1 0.630 0.689 0.322
Pd1 0.014 0.601 0.065
Pd2 0.026 0.361 0.322
Pd3 0.271 0.858 0.579
Pd4 0.464 0.752 0.932
Pd5 0.473 0.250 0.976
Pd6 0.492 0.125 0.322
Pd7 0.820 0.596 0.669
Pd8 0.853 0.141 0.712

Top 8 peaks for 5 to 70 degrees two-theta, by angle:
- 2θ 29.22, intensity 24
- 2θ 33.53, intensity 38
- 2θ 39.24, intensity 44
- 2θ 39.59, intensity 23
- 2θ 40.60, intensity 100
- 2θ 41.43, intensity 48
- 2θ 43.43, intensity 25
- 2θ 43.53, intensity 24


(3)
# AlHgPd2
Theoretical powder diffraction line list, a wavelength of 1.5418 Å. Input: DFT lattice parameters and positions (GGA-PBE).
Lines closer than 0.1° are merged.

Atomic structure:
Unit cell a=3.026 b=3.026 c=7.143 alpha=90.00 beta=90.00 gamma=90.00
Fractional coordinates of all 4 atoms:
Al1 0.000 0.000 0.000
Hg1 0.000 0.000 0.500
Pd1 0.500 0.500 0.208
Pd2 0.500 0.500 0.792

Top 8 peaks for 5 to 70 degrees two-theta, by angle:
- 2θ 12.39, intensity 27
- 2θ 32.13, intensity 52
- 2θ 37.79, intensity 17
- 2θ 39.02, intensity 100
- 2θ 42.24, intensity 46
- 2θ 57.95, intensity 20
- 2θ 61.27, intensity 15
- 2θ 68.44, intensity 12


(4)
# AlHg2Pd6
Theoretical powder diffraction line list, a wavelength of 1.5418 Å. Input: DFT lattice parameters and positions (GGA-PBE).
Lines closer than 0.1° are merged.

Atomic structure:
Unit cell a=7.933 b=7.933 c=2.936 alpha=90.00 beta=90.00 gamma=123.47
Fractional coordinates of all 9 atoms:
Al1 0.000 0.000 0.000
Hg1 0.319 0.681 0.500
Hg2 0.681 0.319 0.500
Pd1 0.020 0.337 0.000
Pd2 0.288 0.288 0.500
Pd3 0.337 0.020 0.000
Pd4 0.663 0.980 0.000
Pd5 0.712 0.712 0.500
Pd6 0.980 0.663 0.000

Top 8 peaks for 5 to 70 degrees two-theta, by angle:
- 2θ 26.94, intensity 31
- 2θ 33.38, intensity 45
- 2θ 38.16, intensity 63
- 2θ 38.66, intensity 62
- 2θ 40.91, intensity 100
- 2θ 41.10, intensity 73
- 2θ 46.45, intensity 32
- 2θ 47.11, intensity 32


(5)
# Pm2Al3Hg4
Theoretical powder diffraction line list, a wavelength of 1.5418 Å. Input: DFT lattice parameters and positions (GGA-PBE).
Lines closer than 0.1° are merged.

Atomic structure:
Unit cell a=8.537 b=8.537 c=8.241 alpha=90.00 beta=90.00 gamma=137.11
Fractional coordinates of all 18 atoms:
Pm1 0.111 0.889 0.906
Pm2 0.389 0.611 0.406
Pm3 0.611 0.389 0.594
Pm4 0.889 0.111 0.094
Al1 0.000 0.000 0.500
Al2 0.024 0.476 0.750
Al3 0.476 0.024 0.250
Al4 0.500 0.500 0.000
Al5 0.524 0.976 0.750
Al6 0.976 0.524 0.250
Hg1 0.180 0.820 0.528
Hg2 0.196 0.304 0.750
Hg3 0.304 0.196 0.250
Hg4 0.320 0.680 0.028
Hg5 0.680 0.320 0.972
Hg6 0.696 0.804 0.750
Hg7 0.804 0.696 0.250
Hg8 0.820 0.180 0.472

Top 8 peaks for 5 to 70 degrees two-theta, by angle:
- 2θ 24.33, intensity 53
- 2θ 24.55, intensity 27
- 2θ 24.88, intensity 35
- 2θ 30.78, intensity 28
- 2θ 32.69, intensity 59
- 2θ 33.46, intensity 79
- 2θ 34.55, intensity 55
- 2θ 36.11, intensity 100


(6)
# Pm3AlHg
Theoretical powder diffraction line list, a wavelength of 1.5418 Å. Input: DFT lattice parameters and positions (GGA-PBE).
Lines closer than 0.1° are merged.

Atomic structure:
Unit cell a=10.199 b=10.199 c=5.386 alpha=90.00 beta=90.00 gamma=149.54
Fractional coordinates of all 10 atoms:
Pm1 0.058 0.942 0.750
Pm2 0.247 0.753 0.750
Pm3 0.432 0.568 0.750
Pm4 0.568 0.432 0.250
Pm5 0.753 0.247 0.250
Pm6 0.942 0.058 0.250
Al1 0.154 0.846 0.250
Al2 0.846 0.154 0.750
Hg1 0.346 0.654 0.250
Hg2 0.654 0.346 0.750

Top 8 peaks for 5 to 70 degrees two-theta, by angle:
- 2θ 18.78, intensity 11
- 2θ 21.41, intensity 12
- 2θ 32.76, intensity 100
- 2θ 33.27, intensity 26
- 2θ 33.45, intensity 26
- 2θ 47.89, intensity 19
- 2θ 59.13, intensity 19
- 2θ 59.36, intensity 18


(7)
# Pm6Al5Hg
Theoretical powder diffraction line list, a wavelength of 1.5418 Å. Input: DFT lattice parameters and positions (GGA-PBE).
Lines closer than 0.1° are merged.

Atomic structure:
Unit cell a=8.335 b=8.335 c=7.448 alpha=90.00 beta=90.00 gamma=143.11
Fractional coordinates of all 12 atoms:
Pm1 0.000 0.000 0.248
Pm2 0.000 0.000 0.752
Pm3 0.332 0.668 0.249
Pm4 0.332 0.668 0.751
Pm5 0.668 0.332 0.249
Pm6 0.668 0.332 0.751
Al1 0.166 0.834 0.000
Al2 0.166 0.834 0.500
Al3 0.500 0.500 0.000
Al4 0.834 0.166 0.000
Al5 0.834 0.166 0.500
Hg1 0.500 0.500 0.500

Top 8 peaks for 5 to 70 degrees two-theta, by angle:
- 2θ 11.19, intensity 4
- 2θ 21.39, intensity 4
- 2θ 23.87, intensity 25
- 2θ 34.02, intensity 100
- 2θ 41.99, intensity 7
- 2θ 48.87, intensity 18
- 2θ 55.10, intensity 10
- 2θ 60.88, intensity 37


(8)
# Pr6AlHg2
Theoretical powder diffraction line list, a wavelength of 1.5418 Å. Input: DFT lattice parameters and positions (GGA-PBE).
Lines closer than 0.1° are merged.

Atomic structure:
Unit cell a=9.054 b=9.054 c=9.054 alpha=110.49 beta=108.99 gamma=108.94
Fractional coordinates of all 18 atoms:
Pr1 0.059 0.235 0.824
Pr2 0.233 0.561 0.328
Pr3 0.233 0.905 0.672
Pr4 0.306 0.245 0.551
Pr5 0.306 0.755 0.061
Pr6 0.412 0.235 0.176
Pr7 0.588 0.765 0.824
Pr8 0.694 0.245 0.939
Pr9 0.694 0.755 0.449
Pr10 0.767 0.095 0.328
Pr11 0.767 0.439 0.672
Pr12 0.941 0.765 0.176
Al1 0.500 0.000 0.500
Al2 0.500 0.500 0.000
Hg1 0.000 0.141 0.141
Hg2 0.000 0.859 0.859
Hg3 0.145 0.500 0.645
Hg4 0.855 0.500 0.355

Top 8 peaks for 5 to 70 degrees two-theta, by angle:
- 2θ 11.90, intensity 45
- 2θ 29.61, intensity 47
- 2θ 31.88, intensity 100
- 2θ 32.01, intensity 54
- 2θ 32.23, intensity 81
- 2θ 34.08, intensity 58
- 2θ 38.87, intensity 25
- 2θ 53.82, intensity 20